Entry 1:
# Pm2MgS3
Calculated powder diffraction line list, Cu Kα. Input: DFT lattice parameters and positions (GGA-PBE).

Crystal structure
Unit cell a=8.8652 b=3.9462 c=8.8651 alpha=77.14 beta=25.72 gamma=77.14
Fractional coordinates of all 6 atoms:
1 Pm 0.1719 0.8281 0.1719
2 Pm 0.8281 0.1719 0.8281
3 Mg 0.5045 0.5045 0.4955
4 S 0.0001 0.0001 0.9999
5 S 0.3455 0.6543 0.3457
6 S 0.6543 0.3455 0.6545

Main lines, by intensity (2θ = 10–90°):
2theta	d/Å	Rel. int.
32.08	2.790	100
27.64	3.228	79
45.87	1.978	68
10.51	8.415	60
31.91	2.805	48
46.00	1.973	36
57.07	1.614	35
35.04	2.561	30


Entry 2:
# Ac3CdHg4
Calculated powder diffraction line list, Cu Kα. Input: DFT lattice parameters and positions (GGA-PBE).

Crystal structure
Unit cell a=10.0323 b=10.0323 c=10.0323 alpha=31.81 beta=31.81 gamma=31.81
Fractional coordinates of all 8 atoms:
1 Ac 0.0000 0.0000 0.0000
2 Ac 0.2396 0.2396 0.2396
3 Ac 0.7604 0.7604 0.7604
4 Cd 0.5000 0.5000 0.5000
5 Hg 0.1241 0.1241 0.1241
6 Hg 0.3737 0.3737 0.3737
7 Hg 0.6263 0.6263 0.6263
8 Hg 0.8759 0.8759 0.8759

Main lines, by intensity (2θ = 10–90°):
2theta	d/Å	Rel. int.
31.32	2.856	100
32.57	2.749	98
57.33	1.607	37
45.81	1.981	36
58.11	1.587	19
54.95	1.671	17
76.98	1.239	16
74.94	1.267	14


Please write out number 2 again, unchanged.
# Ac3CdHg4
Calculated powder diffraction line list, Cu Kα. Input: DFT lattice parameters and positions (GGA-PBE).

Crystal structure
Unit cell a=10.0323 b=10.0323 c=10.0323 alpha=31.81 beta=31.81 gamma=31.81
Fractional coordinates of all 8 atoms:
1 Ac 0.0000 0.0000 0.0000
2 Ac 0.2396 0.2396 0.2396
3 Ac 0.7604 0.7604 0.7604
4 Cd 0.5000 0.5000 0.5000
5 Hg 0.1241 0.1241 0.1241
6 Hg 0.3737 0.3737 0.3737
7 Hg 0.6263 0.6263 0.6263
8 Hg 0.8759 0.8759 0.8759

Main lines, by intensity (2θ = 10–90°):
2theta	d/Å	Rel. int.
31.32	2.856	100
32.57	2.749	98
57.33	1.607	37
45.81	1.981	36
58.11	1.587	19
54.95	1.671	17
76.98	1.239	16
74.94	1.267	14